The following is a simulated X-ray diffraction stick pattern of Tb3CrS6. It was derived from DFT lattice parameters and positions (PBE), using CuKα.
Kinematic intensities with the Lorentz-polarization factor, no thermal factor.

Principal peaks in the range 2θ = 15–90°, sorted by position:
(hkl)  2theta  I/Imax
2 4 0  26.03  85
1 2 1  26.88  38
4 1 0  27.29  39
2 1 1  27.63  38
2 3 1  31.94  34
3 3 1  35.37  100
0 5 1  36.81  46
5 1 1  41.75  48
0 7 1  46.45  32
0 0 2  48.00  37

Crystal structure
a b c (Å): 13.357 15.957 3.791
angles (deg): 90.00 90.00 90.00
Space group Pnnm (No. 58)
One atom of each set of equivalent atoms:
Tb 0.051 0.221 0.000 (multiplicity 4)
Tb 0.181 0.648 0.000 (multiplicity 4)
Tb 0.242 0.902 0.500 (multiplicity 4)
Cr 0.000 0.000 0.500 (multiplicity 2)
Cr 0.000 0.500 0.500 (multiplicity 2)
S 0.023 0.403 0.000 (multiplicity 4)
S 0.081 0.925 0.000 (multiplicity 4)
S 0.103 0.754 0.500 (multiplicity 4)
S 0.121 0.107 0.500 (multiplicity 4)
S 0.180 0.520 0.500 (multiplicity 4)
S 0.189 0.290 0.500 (multiplicity 4)

=====

The following is a simulated X-ray diffraction stick pattern of ThCrS4. It was derived from DFT lattice parameters and positions (PBE), using CuKα.
Kinematic intensities with the Lorentz-polarization factor, no thermal factor.

Principal peaks in the range 2θ = 15–90°, sorted by position:
(hkl)  2theta  I/Imax
1 0 1  21.18  17
0 0 2  24.88  15
1 1 1  25.35  100
0 1 2  28.55  21
1 2 1  35.18  24
2 1 0  37.45  15
0 2 2  37.62  27
2 0 2  43.12  20
1 1 3  44.11  32
1 3 1  47.67  28

Crystal structure
a b c (Å): 5.179 6.426 7.157
angles (deg): 90.00 90.00 90.00
Space group Pmna (No. 53)
One atom of each set of equivalent atoms:
Th 0.000 0.000 0.000 (multiplicity 2)
Cr 0.000 0.500 0.500 (multiplicity 2)
S 0.000 0.174 0.360 (multiplicity 4)
S 0.250 0.332 0.750 (multiplicity 4)